No. 1
This entry pairs a crystal structure of Tm12InNi6 with its theoretical PXRD pattern. Radiation: Cu Kα, 1.54184 Å. Structure: a crystal structure in OQMD, relaxed with GGA-PBE.
No peak broadening, texture or thermal motion is included.

The 10 most intense peaks (2θ = 5–70°), low angle first:
2theta  I/Imax  h k l
29.60  435  3 1 0
32.50  420  2 2 2
35.18  1000  3 2 1
37.70  161  4 0 0
40.08  102  3 3 0
48.64  184  5 1 0
56.19  356  5 0 3
57.98  128  6 0 0
59.72  359  5 3 2
69.66  179  5 4 3

Cell: 9.545 9.545 9.545 Å, 90.00 90.00 90.00°
Space group Im-3 (No. 204)
Asymmetric unit:
Tm 0.000 0.188 0.302 (multiplicity 24)
In 0.000 0.000 0.000 (multiplicity 2)
Ni 0.000 0.376 0.500 (multiplicity 12)


No. 2
This entry pairs a crystal structure of Tm5In4Ni2 with its theoretical PXRD pattern. Radiation: Cu Kα, 1.54184 Å. Structure: a crystal structure in OQMD, relaxed with GGA-PBE.
No peak broadening, texture or thermal motion is included.

The 10 most intense peaks (2θ = 5–70°), low angle first:
2theta  I/Imax  h k l
31.41  168  1 3 1
32.25  379  1 6 0
34.21  1000  1 4 1
34.44  177  3 1 0
35.40  860  2 2 1
35.57  387  3 2 0
37.22  634  1 7 0
37.51  291  1 5 1
37.98  249  2 6 0
51.27  259  0 0 2

Cell: 7.898 17.766 3.564 Å, 90.00 90.00 90.00°
Space group Pbam (No. 55)
Asymmetric unit:
Tm 0.000 0.000 0.000 (multiplicity 2)
Tm 0.117 0.413 0.000 (multiplicity 4)
Tm 0.246 0.222 0.000 (multiplicity 4)
In 0.073 0.848 0.500 (multiplicity 4)
In 0.206 0.569 0.500 (multiplicity 4)
Ni 0.026 0.304 0.500 (multiplicity 4)